Entry 1:
The following is a simulated XRD peak list of Y2MgNi2. It was derived from a crystal structure in the Materials Project, relaxed with PBE, using copper Kα.
Intensities are scaled so that the largest is 100.

Main lines, in order of rising 2θ (2θ = 15–90°):
d_spacing  I (rel.)
5.209  23.4
2.624  22.5
2.472  100.0
2.329  24.8
1.869  12.2
1.612  10.4
1.458  10.6
1.166  10.9

Atomic structure:
```
10
Lattice="7.366 0.000 0.000 0.000 7.366 0.000 0.000 0.000 3.739" Properties=species:S:1:pos:R:3 pbc="T T T"
Y 1.275 2.408 0.000
Y 2.408 6.091 0.000
Y 4.958 1.275 0.000
Y 6.091 4.958 0.000
Mg 0.000 0.000 1.869
Mg 3.683 3.683 1.869
Ni 0.887 4.570 1.869
Ni 2.796 0.887 1.869
Ni 4.570 6.479 1.869
Ni 6.479 2.796 1.869
```

***

Entry 2:
The following is a simulated XRD peak list of YMg6Ni. It was derived from a crystal structure in the Materials Project, relaxed with PBE, using copper Kα.
Intensities are scaled so that the largest is 100.

Main lines, in order of rising 2θ (2θ = 15–90°):
d_spacing  I (rel.)
4.916  30.1
3.824  25.6
2.766  28.1
2.659  39.8
2.588  62.9
2.458  44.5
2.339  100.0
1.805  24.2

Atomic structure:
```
8
Lattice="4.916 0.000 0.000 0.000 2.956 6.086 0.000 -2.956 6.086" Properties=species:S:1:pos:R:3 pbc="T T T"
Y 0.000 0.000 0.000
Mg 0.000 -1.462 3.024
Mg 0.000 1.462 3.024
Mg 2.458 -1.442 4.751
Mg 2.458 0.000 1.924
Mg 2.458 0.000 7.381
Mg 2.458 1.442 4.751
Ni 0.000 0.000 5.391
```

***

Entry 3:
The following is a simulated XRD peak list of YMg6Ni. It was derived from a crystal structure in the Materials Project, relaxed with PBE, using copper Kα.
Intensities are scaled so that the largest is 100.

Main lines, in order of rising 2θ (2θ = 15–90°):
d_spacing  I (rel.)
5.451  66.1
3.722  27.2
2.722  84.7
2.494  76.5
2.421  44.7
2.375  100.0
1.810  26.7
1.312  18.2

Atomic structure:
```
8
Lattice="4.841 0.000 0.000 0.000 3.084 5.820 0.000 -3.084 5.820" Properties=species:S:1:pos:R:3 pbc="T T T"
Y 0.000 0.000 0.000
Mg 0.000 -1.561 3.168
Mg 0.000 1.561 3.168
Mg 0.000 0.000 6.299
Mg 2.421 0.000 4.495
Mg 2.421 -1.527 7.413
Mg 2.421 1.527 7.413
Ni 2.421 0.000 9.879
```

***

Entry 4:
The following is a simulated XRD peak list of Mg6ZrNi. It was derived from a crystal structure in the Materials Project, relaxed with PBE, using copper Kα.
Intensities are scaled so that the largest is 100.

Main lines, in order of rising 2θ (2θ = 15–90°):
d_spacing  I (rel.)
5.686  47.4
4.879  30.0
3.703  25.4
2.613  41.1
2.457  69.4
2.440  43.0
2.304  100.0
1.783  25.2

Atomic structure:
```
8
Lattice="4.879 0.000 0.000 0.000 2.942 5.686 0.000 -2.942 5.686" Properties=species:S:1:pos:R:3 pbc="T T T"
Mg 0.000 0.000 0.000
Mg 0.000 -1.456 2.823
Mg 0.000 0.000 5.351
Mg 0.000 1.456 2.823
Mg 2.440 -1.495 6.790
Mg 2.440 1.495 6.790
Zr 2.440 0.000 9.653
Ni 2.440 0.000 3.605
```

***

Entry 5:
The following is a simulated XRD peak list of MgZrNi2. It was derived from a crystal structure in the Materials Project, relaxed with PBE, using copper Kα.
Intensities are scaled so that the largest is 100.

Main lines, in order of rising 2θ (2θ = 15–90°):
d_spacing  I (rel.)
3.619  19.0
2.216  100.0
1.890  8.9
1.567  15.9
1.438  3.6
1.279  30.8
1.206  2.7
1.108  9.7

Atomic structure:
```
4
Lattice="0.000 3.134 3.134 3.134 0.000 3.134 3.134 3.134 0.000" Properties=species:S:1:pos:R:3 pbc="T T T"
Mg 0.000 0.000 0.000
Zr 3.134 3.134 3.134
Ni 1.567 1.567 1.567
Ni 4.701 4.701 4.701
```

***

Entry 6:
The following is a simulated XRD peak list of Mg6ZrNi. It was derived from a crystal structure in the Materials Project, relaxed with PBE, using copper Kα.
Intensities are scaled so that the largest is 100.

Main lines, in order of rising 2θ (2θ = 15–90°):
d_spacing  I (rel.)
5.542  33.5
5.335  82.9
2.668  55.6
2.420  49.1
2.405  88.9
2.336  100.0
1.792  32.7
1.286  21.9

Atomic structure:
```
8
Lattice="4.840 0.000 0.000 0.000 3.043 5.542 0.000 -3.043 5.542" Properties=species:S:1:pos:R:3 pbc="T T T"
Mg 0.000 0.000 0.000
Mg 0.000 -1.555 8.216
Mg 0.000 1.555 8.216
Mg 2.420 -1.490 6.511
Mg 2.420 1.490 6.511
Mg 2.420 0.000 9.322
Zr 0.000 0.000 5.284
Ni 2.420 0.000 3.987
```

***

Entry 7:
The following is a simulated XRD peak list of MgOsO3. It was derived from a crystal structure in the Materials Project, relaxed with PBE, using copper Kα.
Intensities are scaled so that the largest is 100.

Main lines, in order of rising 2θ (2θ = 15–90°):
d_spacing  I (rel.)
3.917  100.0
2.770  99.3
1.958  32.0
1.752  42.3
1.599  40.1
1.385  19.5
1.306  19.9
1.239  17.6

Atomic structure:
```
5
Lattice="3.917 0.000 0.000 0.000 3.917 0.000 0.000 0.000 3.917" Properties=species:S:1:pos:R:3 pbc="T T T"
Mg 0.000 0.000 0.000
Os 1.958 1.958 1.958
O 0.000 1.958 1.958
O 1.958 0.000 1.958
O 1.958 1.958 0.000
```

***

Entry 8:
The following is a simulated XRD peak list of MgP2O10. It was derived from a crystal structure in the Materials Project, relaxed with PBE, using copper Kα.
Intensities are scaled so that the largest is 100.

Main lines, in order of rising 2θ (2θ = 15–90°):
d_spacing  I (rel.)
4.492  51.8
4.340  100.0
3.791  23.1
3.749  37.2
3.635  20.7
2.840  21.4
2.459  19.1
2.118  28.9

Atomic structure:
```
13
Lattice="7.434 -4.492 0.000 7.434 4.492 0.000 -4.991 0.000 7.493" Properties=species:S:1:pos:R:3 pbc="T T T"
Mg 0.000 0.000 0.000
P 1.050 0.000 4.769
P 0.192 0.000 7.212
O 3.234 3.093 6.316
O 1.579 0.000 1.192
O 6.687 3.051 1.156
O -0.031 0.000 3.775
O 0.438 1.207 6.301
O 4.870 0.000 1.143
O 0.438 -1.207 6.301
O 8.323 0.000 6.264
O 6.687 -3.051 1.156
O 3.234 -3.093 6.316
```